# 1
This entry pairs a crystal structure of ErLu2Cu4Si2Ge2 with its calculated powder diffraction line list. Radiation: Cu Kα, 1.54184 Å. Structure: the PBE geometry in OQMD.

Most intense lines, 2θ = 10–90°, in order of rising 2θ:
- 3.739 Å, intensity 16.7, (0 1 3)
- 3.091 Å, intensity 20.7, (1 1 2)
- 2.518 Å, intensity 100.0, (1 2 1)
- 2.431 Å, intensity 74.4, (1 1 4)
- 2.270 Å, intensity 23.4, (0 0 6)
- 2.040 Å, intensity 27.4, (2 0 0)
- 1.976 Å, intensity 29.9, (0 3 3)
- 1.420 Å, intensity 24.0, (2 3 3)

Structure:
a = 4.080 Å, b = 6.585 Å, c = 13.629 Å
α = 90.00°, β = 90.00°, γ = 90.00°
Space group Immm (No. 71)
One atom of each set of equivalent atoms:
Er 0.000 0.000 0.000 x2
Lu 0.000 0.500 0.129 x4
Cu 0.000 0.308 0.325 x8
Si 0.000 0.000 0.217 x4
Ge 0.000 0.193 0.500 x4

***

# 2
This entry pairs a crystal structure of Tb2Si2IBr with its calculated powder diffraction line list. Radiation: Cu Kα, 1.54184 Å. Structure: the PBE geometry in OQMD.

Most intense lines, 2θ = 10–90°, in order of rising 2θ:
- 5.949 Å, intensity 24.4, (0 0 2)
- 3.398 Å, intensity 60.2, (1 0 1)
- 3.046 Å, intensity 24.5, (1 0 2)
- 2.643 Å, intensity 100.0, (1 0 3)
- 2.279 Å, intensity 22.5, (0 1 4)
- 2.047 Å, intensity 40.2, (1 1 0)
- 1.618 Å, intensity 22.5, (0 2 3)
- 1.424 Å, intensity 21.9, (1 1 6)

Structure:
a = 4.0939 Å, b = 4.0939 Å, c = 11.8981 Å
α = 90.00°, β = 90.00°, γ = 120.00°
Space group P3m1 (No. 156)
One atom of each set of equivalent atoms:
Tb 0.0000 0.0000 0.0000 x1
Tb 0.0000 0.0000 0.3189 x1
Si 0.3333 0.6667 0.1673 x1
Si 0.6667 0.3333 0.1521 x1
I 0.6667 0.3333 0.4925 x1
Br 0.3333 0.6667 0.8472 x1

***

# 3
This entry pairs a crystal structure of InPtAuSeS2 with its calculated powder diffraction line list. Radiation: Cu Kα, 1.54184 Å. Structure: the PBE geometry in OQMD.

Most intense lines, 2θ = 10–90°, in order of rising 2θ:
- 6.540 Å, intensity 17.1, (0 2 0)
- 4.119 Å, intensity 51.6, (0 2 2)
- 2.942 Å, intensity 31.5, (1 1 2)
- 2.809 Å, intensity 100.0, (1 3 0)
- 2.652 Å, intensity 49.2, (0 0 4)
- 1.977 Å, intensity 19.2, (1 5 2)
- 1.928 Å, intensity 66.0, (1 3 4)
- 1.510 Å, intensity 17.3, (2 0 4)

Structure:
a = 3.673 Å, b = 13.080 Å, c = 10.607 Å
α = 90.00°, β = 90.00°, γ = 90.00°
Space group Cmcm (No. 63)
One atom of each set of equivalent atoms:
In 0.000 0.185 0.250 x4
Pt 0.000 0.500 0.000 x4
Au 0.000 0.152 0.750 x4
Se 0.000 0.472 0.750 x4
S 0.000 0.119 0.519 x8

***

# 4
This entry pairs a crystal structure of ZrIn2BiS6 with its calculated powder diffraction line list. Radiation: Cu Kα, 1.54184 Å. Structure: the PBE geometry in OQMD.

Most intense lines, 2θ = 10–90°, in order of rising 2θ:
- 5.835 Å, intensity 75.8, (2 0 -1)
- 4.093 Å, intensity 72.4, (2 0 -3)
- 3.836 Å, intensity 100.0, (3 0 -1)
- 3.226 Å, intensity 97.5, (0 1 2)
- 3.120 Å, intensity 73.0, (2 1 -2)
- 2.732 Å, intensity 77.4, (0 1 3)
- 2.589 Å, intensity 63.3, (3 1 -3)
- 2.362 Å, intensity 65.8, (3 1 -4)

Structure:
a = 11.670 Å, b = 3.899 Å, c = 12.864 Å
α = 90.00°, β = 116.75°, γ = 90.00°
Space group P2_1/m (No. 11)
One atom of each set of equivalent atoms:
Zr 0.186 0.250 0.406 x2
In 0.047 0.750 0.133 x2
In 0.265 0.750 0.729 x2
Bi 0.417 0.750 0.105 x2
S 0.027 0.750 0.766 x2
S 0.154 0.250 0.068 x2
S 0.156 0.250 0.579 x2
S 0.290 0.750 0.371 x2
S 0.359 0.250 0.901 x2
S 0.494 0.750 0.733 x2